No. 1
For H3PtF8, a DFT-relaxed cell (PBE, Alexandria) gives the calculated X-ray diffraction stick pattern in this record (λ = 1.5418 Å (Cu Kα)).
Neutral-atom scattering factors, no anomalous dispersion.

Atomic structure:
```
H3PtF8
1.0
5.764 0.000 0.000
0.000 10.170 0.000
-1.851 0.000 5.737
H Pt F
6 2 16
Direct
0.063 0.000 0.272
0.331 0.904 0.909
0.396 0.392 0.824
0.604 0.892 0.176
0.669 0.404 0.091
0.937 0.500 0.728
0.140 0.366 0.341
0.860 0.866 0.659
0.009 0.725 0.546
0.063 0.287 0.041
0.187 0.957 0.760
0.215 0.017 0.249
0.216 0.448 0.659
0.276 0.514 0.234
0.450 0.282 0.441
0.478 0.842 0.043
0.522 0.342 0.957
0.550 0.782 0.559
0.724 0.014 0.766
0.784 0.948 0.341
0.785 0.517 0.751
0.813 0.457 0.240
0.937 0.787 0.959
0.991 0.225 0.454
```

Most intense lines, 2θ from 10° to 90°, sorted by position:
d [Å]  intensity
5.737  26
5.486  37
5.085  100
4.997  97
4.828  76
4.313  93
3.469  30
2.866  25
2.761  53
2.545  29

---

No. 2
For Ca2SnCl2O2, a DFT-relaxed cell (PBE, Alexandria) gives the calculated X-ray diffraction stick pattern in this record (λ = 1.5418 Å (Cu Kα)).
Neutral-atom scattering factors, no anomalous dispersion.

Atomic structure:
```
Ca2SnCl2O2
1.0
-2.242 2.242 7.310
2.242 -2.242 7.310
2.242 2.242 -7.310
Ca Sn Cl O
2 1 2 2
Direct
0.109 0.109 0.000
0.891 0.891 0.000
0.500 0.500 0.000
0.298 0.298 0.000
0.702 0.702 0.000
0.000 0.500 0.500
0.500 0.000 0.500
```

Most intense lines, 2θ from 10° to 90°, sorted by position:
d [Å]  intensity
7.310  59
4.287  32
3.300  32
3.171  82
2.449  100
2.242  49
1.654  56
1.585  19
1.417  20
1.144  17

---

No. 3
For Na2CeF6, a DFT-relaxed cell (PBE, Alexandria) gives the calculated X-ray diffraction stick pattern in this record (λ = 1.5418 Å (Cu Kα)).
Neutral-atom scattering factors, no anomalous dispersion.

Atomic structure:
```
Na2CeF6
1.0
6.028 0.000 0.000
-3.014 5.221 0.000
0.000 0.000 3.751
Na Ce F
2 1 6
Direct
0.333 0.667 0.068
0.667 0.333 0.932
0.000 0.000 0.500
0.000 0.367 0.500
0.000 0.749 0.000
0.251 0.251 0.000
0.367 0.000 0.500
0.633 0.633 0.500
0.749 0.000 0.000
```

Most intense lines, 2θ from 10° to 90°, sorted by position:
d [Å]  intensity
5.221  100
3.046  60
3.014  30
2.610  13
2.349  24
2.143  46
1.765  13
1.746  42
1.740  20
1.141  12

---

No. 4
For CsTi2Bi2O7, a DFT-relaxed cell (PBE, Alexandria) gives the calculated X-ray diffraction stick pattern in this record (λ = 1.5418 Å (Cu Kα)).
Neutral-atom scattering factors, no anomalous dispersion.

Atomic structure:
```
CsTi2Bi2O7
1.0
3.001 1.733 8.646
-3.001 1.733 8.646
0.000 -3.465 8.646
Cs Ti Bi O
1 2 2 7
Direct
0.000 0.000 0.000
0.429 0.429 0.429
0.571 0.571 0.571
0.211 0.211 0.211
0.789 0.789 0.789
0.076 0.529 0.620
0.380 0.471 0.924
0.471 0.924 0.380
0.500 0.500 0.500
0.529 0.620 0.076
0.620 0.076 0.529
0.924 0.380 0.471
```

Most intense lines, 2θ from 10° to 90°, sorted by position:
d [Å]  intensity
8.646  18
4.825  16
4.056  50
3.672  100
3.001  67
2.322  39
2.079  34
1.837  37
1.745  13
1.733  15

---

No. 5
For CaNiW4, a DFT-relaxed cell (PBE, Alexandria) gives the calculated X-ray diffraction stick pattern in this record (λ = 1.5418 Å (Cu Kα)).
Neutral-atom scattering factors, no anomalous dispersion.

Atomic structure:
```
CaNiW4
1.0
0.000 3.799 3.799
3.799 0.000 3.799
3.799 3.799 0.000
Ca Ni W
1 1 4
Direct
0.000 0.000 0.000
0.750 0.750 0.750
0.374 0.374 0.374
0.374 0.374 0.877
0.374 0.877 0.374
0.877 0.374 0.374
```

Most intense lines, 2θ from 10° to 90°, sorted by position:
d [Å]  intensity
4.386  75
2.291  100
2.193  81
1.899  29
1.743  19
1.462  32
1.343  33
1.284  14
1.159  11
1.145  31

---

No. 6
For Li2H2NCl2, a DFT-relaxed cell (PBE, Alexandria) gives the calculated X-ray diffraction stick pattern in this record (λ = 1.5418 Å (Cu Kα)).
Neutral-atom scattering factors, no anomalous dispersion.

Atomic structure:
```
Li2H2NCl2
1.0
2.958 0.000 0.000
-0.088 5.767 0.000
-1.353 -2.361 5.411
Li H N Cl
2 2 1 2
Direct
0.121 0.291 0.236
0.879 0.709 0.764
0.443 0.087 0.880
0.557 0.913 0.120
0.500 0.000 0.000
0.320 0.330 0.662
0.680 0.670 0.338
```

Most intense lines, 2θ from 10° to 90°, sorted by position:
d [Å]  intensity
5.411  24
5.286  23
3.196  100
2.930  96
2.869  90
2.841  27
2.646  42
2.611  32
2.407  52
1.762  28

---

No. 7
For La3ErTl, a DFT-relaxed cell (PBE, Alexandria) gives the calculated X-ray diffraction stick pattern in this record (λ = 1.5418 Å (Cu Kα)).
Neutral-atom scattering factors, no anomalous dispersion.

Atomic structure:
```
La3ErTl
1.0
6.584 0.000 0.000
2.717 6.069 0.000
1.938 0.972 8.324
La Er Tl
6 2 2
Direct
0.166 0.143 0.377
0.203 0.664 0.235
0.312 0.796 0.780
0.688 0.204 0.220
0.797 0.336 0.765
0.834 0.857 0.623
0.271 0.265 0.970
0.729 0.735 0.030
0.348 0.358 0.598
0.652 0.642 0.402
```

Most intense lines, 2θ from 10° to 90°, sorted by position:
d [Å]  intensity
3.014  18
2.965  26
2.949  100
2.769  53
2.764  68
2.683  19
1.798  14
1.664  11
1.565  12
1.514  15

---

No. 8
For CeAl4PtAu2, a DFT-relaxed cell (PBE, Alexandria) gives the calculated X-ray diffraction stick pattern in this record (λ = 1.5418 Å (Cu Kα)).
Neutral-atom scattering factors, no anomalous dispersion.

Atomic structure:
```
CeAl4PtAu2
1.0
2.186 1.262 9.134
-2.186 1.262 9.134
0.000 -2.524 9.134
Ce Al Pt Au
1 4 1 2
Direct
0.000 0.000 0.000
0.133 0.133 0.133
0.406 0.406 0.406
0.594 0.594 0.594
0.867 0.867 0.867
0.500 0.500 0.500
0.254 0.254 0.254
0.746 0.746 0.746
```

Most intense lines, 2θ from 10° to 90°, sorted by position:
d [Å]  intensity
3.313  100
2.540  74
2.283  15
2.186  57
1.824  20
1.657  21
1.579  29
1.560  13
1.401  17
1.320  19